Entry 1:
Structure and computed powder diffraction line list of NaNpTl2Br6 (a GGA-PBE-relaxed structure; Cu Kα).
Neutral-atom scattering factors, no anomalous dispersion.

Largest 6 diffraction maxima, sorted by position, 2θ from 15° to 90°:
- 22.3 deg, I = 90.0, (1 1 1)
- 22.6 deg, I = 92.4, (1 1 -3)
- 26.6 deg, I = 78.8, (2 1 -1)
- 31.8 deg, I = 84.1, (2 2 -2)
- 32.1 deg, I = 74.0, (0 0 4)
- 35.5 deg, I = 100.0, (1 3 0)

Cell: 7.703 8.261 13.455 Å, 90.00 123.92 90.00°
Fractional positions:
Na 0.000 0.000 0.000
Na 0.000 0.500 0.500
Np 0.500 0.000 0.500
Np 0.500 0.500 0.000
Tl 0.218 0.081 0.748
Tl 0.218 0.419 0.248
Tl 0.782 0.581 0.752
Tl 0.782 0.919 0.252
Br 0.141 0.191 0.445
Br 0.141 0.309 0.945
Br 0.263 0.703 0.445
Br 0.263 0.797 0.945
Br 0.368 0.035 0.253
Br 0.368 0.465 0.753
Br 0.632 0.535 0.247
Br 0.632 0.965 0.747
Br 0.737 0.203 0.055
Br 0.737 0.297 0.555
Br 0.859 0.691 0.055
Br 0.859 0.809 0.555

Entry 2:
Structure and computed powder diffraction line list of Na2Br2O7 (a GGA-PBE-relaxed structure; Cu Kα).
Neutral-atom scattering factors, no anomalous dispersion.

Largest 6 diffraction maxima, sorted by position, 2θ from 15° to 90°:
- 19.3 deg, I = 84.9, (1 1 1)
- 22.3 deg, I = 100.0, (-1 1 1)
- 22.5 deg, I = 50.3, (1 -1 1)
- 26.8 deg, I = 59.5, (0 1 -2)
- 27.3 deg, I = 62.8, (1 1 3)
- 29.7 deg, I = 47.6, (2 0 0)

Cell: 6.279 6.404 10.522 Å, 72.35 73.47 86.70°
Fractional positions:
Na 0.115 0.231 0.037
Na 0.308 0.811 0.489
Na 0.692 0.189 0.511
Na 0.885 0.769 0.963
Br 0.075 0.266 0.683
Br 0.478 0.672 0.802
Br 0.522 0.328 0.198
Br 0.925 0.734 0.317
O 0.019 0.095 0.606
O 0.056 0.126 0.847
O 0.105 0.538 0.326
O 0.210 0.590 0.883
O 0.328 0.378 0.607
O 0.444 0.199 0.102
O 0.470 0.868 0.654
O 0.530 0.132 0.346
O 0.556 0.801 0.898
O 0.672 0.622 0.393
O 0.790 0.410 0.117
O 0.895 0.462 0.674
O 0.944 0.874 0.153
O 0.981 0.905 0.394